Diffraction record for La4TbHo6. The XRD peak list is computed, not measured: it uses a cell relaxed with PBE and Cu Ka.
Neutral-atom scattering factors, no anomalous dispersion.

Crystal structure
```
11
Lattice="-3.383 3.383 8.462 3.383 -3.383 8.462 3.383 3.383 -8.462" Properties=species:S:1:pos:R:3 pbc="T T T"
La 2.096 -2.096 5.470
La 1.287 1.287 2.993
La -2.096 2.096 5.470
La 2.096 2.096 11.455
Tb 0.000 0.000 0.000
Ho 3.383 0.000 0.000
Ho 2.200 2.200 -1.996
Ho 1.183 -1.183 10.458
Ho 0.000 3.383 0.000
Ho 1.183 1.183 6.466
Ho -1.183 1.183 10.458
```

Top 12 peaks for 15 to 90 degrees two-theta, most intense first:
2θ (°), d (Å), intensity
30.00, 2.979, 100.0
33.93, 2.642, 75.8
28.41, 3.141, 62.1
28.15, 3.170, 53.5
29.51, 3.027, 36.6
37.60, 2.392, 30.8
37.00, 2.430, 30.6
57.78, 1.596, 30.0
56.32, 1.633, 28.2
39.96, 2.256, 25.2
56.03, 1.641, 22.5
33.61, 2.667, 22.2